Record 1
For Ba4NaMn2O9, a structure optimized by DFT (PBE+U) gives the theoretical powder diffraction line list in this record (λ = 1.5418 Å (Cu Kα)).

Structural model:
Cell: 10.1629 10.1629 8.4061 Å, 90.00 90.00 120.00°
Element x y z (fractional)
Ba1 0.0000 0.3273 0.0000
Ba2 0.0000 0.3534 0.5000
Ba3 0.0223 0.6868 0.2454
Ba4 0.3132 0.3355 0.2454
Ba5 0.3273 0.0000 0.0000
Ba6 0.3355 0.3132 0.7546
Ba7 0.3534 0.0000 0.5000
Ba8 0.6466 0.6466 0.5000
Ba9 0.6645 0.9777 0.2454
Ba10 0.6727 0.6727 0.0000
Ba11 0.6868 0.0223 0.7546
Ba12 0.9777 0.6645 0.7546
Na1 0.0000 0.0000 0.5000
Na2 0.3333 0.6667 0.7467
Na3 0.6667 0.3333 0.2533
Mn1 0.0000 0.0000 0.1600
Mn2 0.0000 0.0000 0.8400
Mn3 0.3333 0.6667 0.0874
Mn4 0.3333 0.6667 0.4069
Mn5 0.6667 0.3333 0.5931
Mn6 0.6667 0.3333 0.9126
O1 0.0000 0.8549 0.0000
O2 0.0088 0.1641 0.7193
O3 0.1451 0.1451 0.0000
O4 0.1553 0.9912 0.7193
O5 0.1641 0.0088 0.2807
O6 0.1797 0.5241 0.2465
O7 0.1808 0.6721 0.9638
O8 0.1820 0.6789 0.5298
O9 0.3211 0.5032 0.5298
O10 0.3279 0.5086 0.9638
O11 0.3444 0.8203 0.2465
O12 0.4759 0.6556 0.2465
O13 0.4914 0.8192 0.9638
O14 0.4968 0.8180 0.5298
O15 0.5032 0.3211 0.4702
O16 0.5086 0.3279 0.0362
O17 0.5241 0.1797 0.7535
O18 0.6556 0.4759 0.7535
O19 0.6721 0.1808 0.0362
O20 0.6789 0.1820 0.4702
O21 0.8180 0.4968 0.4702
O22 0.8192 0.4914 0.0362
O23 0.8203 0.3444 0.7535
O24 0.8359 0.8447 0.7193
O25 0.8447 0.8359 0.2807
O26 0.8549 0.0000 0.0000
O27 0.9912 0.1553 0.2807

Largest 6 diffraction maxima, sorted by position, 2θ from 10° to 90°:
Position (°2θ)	I (rel.)
27.54	100
30.47	79
41.53	57
52.38	26
53.65	16
54.15	13

=====

Record 2
For Ba6Na2Mn2Ru2O17, a structure optimized by DFT (PBE+U) gives the theoretical powder diffraction line list in this record (λ = 1.5418 Å (Cu Kα)).

Structural model:
Cell: 5.9181 5.9181 30.1108 Å, 90.00 90.00 120.00°
Element x y z (fractional)
Ba1 0.0000 0.0000 0.0000
Ba2 0.0000 0.0000 0.2500
Ba3 0.0000 0.0000 0.5000
Ba4 0.0000 0.0000 0.7500
Ba5 0.3333 0.6667 0.0920
Ba6 0.3333 0.6667 0.4080
Ba7 0.3333 0.6667 0.6798
Ba8 0.3333 0.6667 0.8202
Ba9 0.6667 0.3333 0.1798
Ba10 0.6667 0.3333 0.3202
Ba11 0.6667 0.3333 0.5920
Ba12 0.6667 0.3333 0.9080
Na1 0.0000 0.0000 0.1243
Na2 0.0000 0.0000 0.3757
Na3 0.0000 0.0000 0.6243
Na4 0.0000 0.0000 0.8757
Mn1 0.3333 0.6667 0.5521
Mn2 0.3333 0.6667 0.9479
Mn3 0.6667 0.3333 0.0521
Mn4 0.6667 0.3333 0.4479
Ru1 0.3333 0.6667 0.2037
Ru2 0.3333 0.6667 0.2963
Ru3 0.6667 0.3333 0.7037
Ru4 0.6667 0.3333 0.7963
O1 0.0275 0.5138 0.2500
O2 0.1765 0.3529 0.5730
O3 0.1765 0.3529 0.9270
O4 0.1765 0.8235 0.5730
O5 0.1765 0.8235 0.9270
O6 0.1767 0.3533 0.1699
O7 0.1767 0.3533 0.3301
O8 0.1767 0.8233 0.1699
O9 0.1767 0.8233 0.3301
O10 0.3333 0.6667 0.0041
O11 0.3333 0.6667 0.4959
O12 0.3529 0.1765 0.0730
O13 0.3529 0.1765 0.4270
O14 0.3533 0.1767 0.6699
O15 0.3533 0.1767 0.8301
O16 0.4862 0.5138 0.2500
O17 0.4862 0.9725 0.2500
O18 0.5138 0.0275 0.7500
O19 0.5138 0.4862 0.7500
O20 0.6467 0.8233 0.1699
O21 0.6467 0.8233 0.3301
O22 0.6471 0.8235 0.5730
O23 0.6471 0.8235 0.9270
O24 0.6667 0.3333 0.5041
O25 0.6667 0.3333 0.9959
O26 0.8233 0.1767 0.6699
O27 0.8233 0.1767 0.8301
O28 0.8233 0.6467 0.6699
O29 0.8233 0.6467 0.8301
O30 0.8235 0.1765 0.0730
O31 0.8235 0.1765 0.4270
O32 0.8235 0.6471 0.0730
O33 0.8235 0.6471 0.4270
O34 0.9725 0.4862 0.7500

Largest 6 diffraction maxima, sorted by position, 2θ from 10° to 90°:
Position (°2θ)	I (rel.)
20.97	21
27.06	29
29.44	46
30.20	100
42.68	27
53.65	19

=====

Record 3
For BaNaSrMnO6, a structure optimized by DFT (PBE+U) gives the theoretical powder diffraction line list in this record (λ = 1.5418 Å (Cu Kα)).

Structural model:
Cell: 5.8319 5.8319 5.8319 Å, 60.00 60.00 60.00°
Element x y z (fractional)
Ba1 0.0000 0.0000 0.0000
Na1 0.7500 0.7500 0.7500
Sr1 0.5000 0.5000 0.5000
Mn1 0.2500 0.2500 0.2500
O1 0.0210 0.0210 0.4790
O2 0.0210 0.4790 0.0210
O3 0.0210 0.4790 0.4790
O4 0.4790 0.0210 0.0210
O5 0.4790 0.0210 0.4790
O6 0.4790 0.4790 0.0210

Largest 6 diffraction maxima, sorted by position, 2θ from 10° to 90°:
Position (°2θ)	I (rel.)
30.66	100
37.79	29
43.91	38
54.51	38
63.84	22
88.77	21